Diffraction record for La2TbIr. The X-ray powder pattern is computed, not measured: it uses a DFT-relaxed cell (PBE, Alexandria) and Cu Kα.
Neutral-atom scattering factors, no anomalous dispersion.

The 8 most intense peaks (10° ≤ 2θ ≤ 90°), low angle first:
(1 1 1), 20.3 deg, I 33
(2 1 1), 29.3 deg, I 42
(0 3 1), 30.0 deg, I 100
(1 1 2), 31.5 deg, I 86
(1 3 1), 32.4 deg, I 69
(2 2 1), 33.1 deg, I 68
(2 3 0), 36.1 deg, I 43
(2 1 2), 38.1 deg, I 35

```
data_La2TbIr
_chemical_formula_sum 'La8 Tb4 Ir4'
_symmetry_space_group_name_H-M 'P n m a'
_symmetry_Int_Tables_number 62
_cell_length_a 7.3712
_cell_length_b 10.0966
_cell_length_c 6.4681
_cell_angle_alpha 90.00
_cell_angle_beta 90.00
_cell_angle_gamma 90.00
loop_
_symmetry_equiv_pos_as_xyz
'x,y,z'
'-x,-y,-z'
'-x+1/2,-y,z+1/2'
'x+1/2,y,-z+1/2'
'x+1/2,-y+1/2,-z+1/2'
'-x+1/2,y+1/2,z+1/2'
'-x,y+1/2,-z'
'x,-y+1/2,z'
loop_
_atom_site_label
_atom_site_fract_x
_atom_site_fract_y
_atom_site_fract_z
La1 0.1748 0.0672 0.1740
Tb1 0.0385 0.2500 0.6566
Ir1 0.1236 0.7500 0.9432
```